1.
Starting from DFT lattice parameters and positions (GGA-PBE), the powder X-ray diffraction pattern of K3NaAg6 was calculated for Cu Kα (λ = 1.5418 Å).
No peak broadening, texture or thermal motion is included.

Top 10 peaks for 2θ from 10° to 80°, most intense first:
- 2θ = 15.29°, I 100
- 2θ = 34.22°, I 49
- 2θ = 30.86°, I 40
- 2θ = 38.64°, I 22
- 2θ = 35.70°, I 20
- 2θ = 40.93°, I 19
- 2θ = 33.71°, I 16
- 2θ = 34.72°, I 16
- 2θ = 41.30°, I 12
- 2θ = 48.76°, I 12

a b c (Å): 13.449 5.774 7.929
angles (deg): 90.00 120.50 90.00
Space group C2/m (No. 12)
One atom of each set of equivalent atoms:
K (0.000, 0.000, 0.000) [2 per cell]
K (0.008, 0.500, 0.263) [4 per cell]
Na (0.000, 0.000, 0.500) [2 per cell]
Ag (0.219, 0.000, 0.471) [4 per cell]
Ag (0.239, 0.246, 0.809) [8 per cell]

=====

2.
Starting from DFT lattice parameters and positions (GGA-PBE), the powder X-ray diffraction pattern of K12NaAg5 was calculated for Cu Kα (λ = 1.5418 Å).
No peak broadening, texture or thermal motion is included.

Top 10 peaks for 2θ from 10° to 80°, most intense first:
- 2θ = 28.62°, I 100
- 2θ = 10.87°, I 88
- 2θ = 25.91°, I 76
- 2θ = 31.61°, I 75
- 2θ = 27.85°, I 73
- 2θ = 15.65°, I 64
- 2θ = 27.20°, I 49
- 2θ = 35.83°, I 39
- 2θ = 10.42°, I 38
- 2θ = 13.79°, I 37

a b c (Å): 11.322 11.720 12.845
angles (deg): 90.00 90.00 90.00
Space group Immm (No. 71)
One atom of each set of equivalent atoms:
K (0.000, 0.196, 0.221) [8 per cell]
K (0.192, 0.500, 0.176) [8 per cell]
K (0.220, 0.322, 0.500) [8 per cell]
Na (0.000, 0.000, 0.500) [2 per cell]
Ag (0.000, 0.000, 0.000) [2 per cell]
Ag (0.000, 0.373, 0.000) [4 per cell]
Ag (0.000, 0.500, 0.389) [4 per cell]

=====

3.
Starting from DFT lattice parameters and positions (GGA-PBE), the powder X-ray diffraction pattern of KNa7Ag5 was calculated for Cu Kα (λ = 1.5418 Å).
No peak broadening, texture or thermal motion is included.

Top 10 peaks for 2θ from 10° to 80°, most intense first:
- 2θ = 16.26°, I 100
- 2θ = 38.62°, I 81
- 2θ = 34.78°, I 52
- 2θ = 33.67°, I 49
- 2θ = 32.85°, I 37
- 2θ = 37.57°, I 36
- 2θ = 16.63°, I 33
- 2θ = 11.61°, I 29
- 2θ = 23.34°, I 29
- 2θ = 48.60°, I 27

a b c (Å): 5.894 10.659 10.904
angles (deg): 90.00 90.00 90.00
Space group Imm2 (No. 44)
One atom of each set of equivalent atoms:
K (0.000, 0.000, 0.000) [2 per cell]
Na (0.000, 0.000, 0.317) [2 per cell]
Na (0.000, 0.000, 0.643) [2 per cell]
Na (0.000, 0.295, 0.476) [4 per cell]
Na (0.000, 0.344, 0.962) [4 per cell]
Na (0.000, 0.500, 0.244) [2 per cell]
Ag (0.000, 0.500, 0.704) [2 per cell]
Ag (0.250, 0.240, 0.220) [8 per cell]

=====

4.
Starting from DFT lattice parameters and positions (GGA-PBE), the powder X-ray diffraction pattern of K2NaTl5Ag2 was calculated for Cu Kα (λ = 1.5418 Å).
No peak broadening, texture or thermal motion is included.

Top 10 peaks for 2θ from 10° to 80°, most intense first:
- 2θ = 31.54°, I 100
- 2θ = 34.39°, I 72
- 2θ = 32.15°, I 48
- 2θ = 17.27°, I 47
- 2θ = 19.53°, I 46
- 2θ = 37.90°, I 32
- 2θ = 39.65°, I 32
- 2θ = 68.62°, I 29
- 2θ = 37.05°, I 26
- 2θ = 51.93°, I 25

a b c (Å): 11.479 11.479 4.546
angles (deg): 90.00 90.00 90.00
Space group P4/mbm (No. 127)
One atom of each set of equivalent atoms:
K (0.176, 0.324, 0.000) [4 per cell]
Na (0.000, 0.000, 0.000) [2 per cell]
Tl (0.000, 0.500, 0.500) [2 per cell]
Tl (0.066, 0.797, 0.500) [8 per cell]
Ag (0.121, 0.621, 0.000) [4 per cell]

=====

5.
Starting from DFT lattice parameters and positions (GGA-PBE), the powder X-ray diffraction pattern of K2Nb6AgP3O24 was calculated for Cu Kα (λ = 1.5418 Å).
No peak broadening, texture or thermal motion is included.

Top 10 peaks for 2θ from 10° to 80°, most intense first:
- 2θ = 13.03°, I 100
- 2θ = 28.68°, I 59
- 2θ = 25.41°, I 58
- 2θ = 26.19°, I 56
- 2θ = 26.29°, I 36
- 2θ = 32.28°, I 32
- 2θ = 28.55°, I 28
- 2θ = 55.44°, I 17
- 2θ = 46.34°, I 15
- 2θ = 18.46°, I 15

a b c (Å): 10.561 13.557 8.600
angles (deg): 90.00 114.35 90.00
Space group C2 (No. 5)
One atom of each set of equivalent atoms:
K (0.242, 0.000, 0.310) [4 per cell]
Nb (0.092, 0.721, 0.349) [4 per cell]
Nb (0.194, 0.503, 0.154) [4 per cell]
Nb (0.245, 0.261, 0.960) [4 per cell]
Ag (0.000, 0.168, 0.500) [2 per cell]
P (0.000, 0.933, 0.500) [2 per cell]
P (0.118, 0.276, 0.269) [4 per cell]
O (0.000, 0.507, 0.000) [2 per cell]
O (0.000, 0.687, 0.500) [2 per cell]
O (0.039, 0.261, 0.768) [4 per cell]
O (0.076, 0.739, 0.850) [4 per cell]
O (0.079, 0.871, 0.418) [4 per cell]
O (0.104, 0.001, 0.639) [4 per cell]
O (0.139, 0.592, 0.314) [4 per cell]
O (0.150, 0.228, 0.128) [4 per cell]
O (0.151, 0.387, 0.290) [4 per cell]
O (0.196, 0.785, 0.215) [4 per cell]
O (0.203, 0.221, 0.440) [4 per cell]
O (0.236, 0.401, 0.020) [4 per cell]
O (0.242, 0.111, 0.929) [4 per cell]

=====

6.
Starting from DFT lattice parameters and positions (GGA-PBE), the powder X-ray diffraction pattern of KNb4AgP2S20 was calculated for Cu Kα (λ = 1.5418 Å).
No peak broadening, texture or thermal motion is included.

Top 10 peaks for 2θ from 10° to 80°, most intense first:
- 2θ = 12.02°, I 100
- 2θ = 16.31°, I 85
- 2θ = 11.50°, I 70
- 2θ = 17.00°, I 47
- 2θ = 13.40°, I 43
- 2θ = 23.11°, I 40
- 2θ = 16.68°, I 33
- 2θ = 33.24°, I 31
- 2θ = 40.99°, I 27
- 2θ = 35.06°, I 20

a b c (Å): 7.573 7.703 13.028
angles (deg): 90.03 103.27 92.27
Space group P1 (No. 1)
One atom of each set of equivalent atoms:
K (0.000, 0.000, 0.000) [1 per cell]
Nb (0.359, 0.566, 0.277) [1 per cell]
Nb (0.361, 0.438, 0.487) [1 per cell]
Nb (0.361, 0.442, 0.776) [1 per cell]
Nb (0.363, 0.570, 0.986) [1 per cell]
Ag (0.872, 0.003, 0.386) [1 per cell]
P (0.151, 0.134, 0.605) [1 per cell]
P (0.566, 0.873, 0.163) [1 per cell]
S (0.090, 0.425, 0.333) [1 per cell]
S (0.091, 0.434, 0.858) [1 per cell]
S (0.112, 0.403, 0.599) [1 per cell]
S (0.120, 0.602, 0.100) [1 per cell]
S (0.159, 0.669, 0.393) [1 per cell]
S (0.161, 0.677, 0.817) [1 per cell]
S (0.240, 0.367, 0.113) [1 per cell]
S (0.297, 0.109, 0.758) [1 per cell]
S (0.304, 0.105, 0.495) [1 per cell]
S (0.409, 0.901, 0.269) [1 per cell]
S (0.428, 0.905, 0.008) [1 per cell]
S (0.488, 0.638, 0.648) [1 per cell]
S (0.560, 0.335, 0.371) [1 per cell]
S (0.566, 0.341, 0.946) [1 per cell]
S (0.599, 0.399, 0.664) [1 per cell]
S (0.610, 0.606, 0.166) [1 per cell]
S (0.631, 0.579, 0.431) [1 per cell]
S (0.631, 0.585, 0.903) [1 per cell]
S (0.794, 0.029, 0.195) [1 per cell]
S (0.925, 0.980, 0.577) [1 per cell]